(1)
Simulated X-ray powder pattern of LiPrS2O8 for Cu Kα, 1.54184 Å, from a cell relaxed with PBE.
Neutral-atom scattering factors, no anomalous dispersion.

The 6 most intense peaks (5° ≤ 2θ ≤ 70°), in order of falling intensity:
d/Å, I/Imax
5.935, 100
2.985, 94
13.100, 84
4.206, 57
4.367, 48
1.903, 41

Structure:
Lattice parameters (Å, degrees): 13.523 6.658 6.980 90.00 104.36 90.00
Sites, in units of the cell vectors:
Li 0.054 0.243 0.008
Li 0.054 0.257 0.508
Li 0.946 0.743 0.492
Li 0.946 0.757 0.992
Pr 0.314 0.613 0.162
Pr 0.314 0.887 0.662
Pr 0.686 0.113 0.338
Pr 0.686 0.387 0.838
S 0.114 0.596 0.799
S 0.114 0.904 0.299
S 0.394 0.075 0.201
S 0.394 0.425 0.701
S 0.606 0.575 0.299
S 0.606 0.925 0.799
S 0.886 0.096 0.701
S 0.886 0.404 0.201
O 0.012 0.683 0.777
O 0.012 0.817 0.277
O 0.123 0.008 0.121
O 0.123 0.492 0.621
O 0.142 0.034 0.480
O 0.142 0.466 0.980
O 0.193 0.738 0.344
O 0.193 0.762 0.844
O 0.333 0.242 0.679
O 0.333 0.258 0.179
O 0.362 0.555 0.521
O 0.362 0.945 0.021
O 0.372 0.554 0.861
O 0.372 0.946 0.361
O 0.497 0.621 0.260
O 0.497 0.879 0.760
O 0.503 0.121 0.240
O 0.503 0.379 0.740
O 0.628 0.054 0.639
O 0.628 0.446 0.139
O 0.638 0.055 0.979
O 0.638 0.445 0.479
O 0.667 0.742 0.821
O 0.667 0.758 0.321
O 0.807 0.238 0.156
O 0.807 0.262 0.656
O 0.858 0.534 0.020
O 0.858 0.966 0.520
O 0.877 0.508 0.379
O 0.877 0.992 0.879
O 0.988 0.183 0.723
O 0.988 0.317 0.223

(2)
Simulated X-ray powder pattern of Zr3Ni2As4Pd2 for Cu Kα, 1.54184 Å, from a cell relaxed with PBE.
Neutral-atom scattering factors, no anomalous dispersion.

The 6 most intense peaks (5° ≤ 2θ ≤ 70°), in order of falling intensity:
d/Å, I/Imax
2.509, 100
2.383, 77
2.117, 42
1.951, 41
2.017, 23
4.955, 21

Structure:
Lattice parameters (Å, degrees): 6.559 3.903 7.559 90.00 90.27 90.00
Sites, in units of the cell vectors:
Zr 0.000 0.000 0.000
Zr 0.069 0.500 0.630
Zr 0.567 0.500 0.488
Ni 0.686 0.500 0.868
Ni 0.890 0.000 0.372
As 0.281 0.000 0.433
As 0.303 0.500 0.949
As 0.760 0.500 0.182
As 0.779 0.000 0.686
Pd 0.155 0.500 0.253
Pd 0.395 0.000 0.760

(3)
Simulated X-ray powder pattern of Lu4CdPN2 for Cu Kα, 1.54184 Å, from a cell relaxed with PBE.
Neutral-atom scattering factors, no anomalous dispersion.

The 6 most intense peaks (5° ≤ 2θ ≤ 70°), in order of falling intensity:
d/Å, I/Imax
2.532, 100
2.773, 35
3.027, 31
1.748, 29
1.504, 23
1.479, 17

Structure:
Lattice parameters (Å, degrees): 3.496 3.496 13.858 90.00 90.00 120.00
Sites, in units of the cell vectors:
Lu 0.000 0.000 0.130
Lu 0.000 0.000 0.870
Lu 0.333 0.667 0.319
Lu 0.333 0.667 0.681
Cd 0.000 0.000 0.500
P 0.333 0.667 0.000
N 0.667 0.333 0.227
N 0.667 0.333 0.773

(4)
Simulated X-ray powder pattern of Ac3Zn2Sn2 for Cu Kα, 1.54184 Å, from a cell relaxed with PBE.
Neutral-atom scattering factors, no anomalous dispersion.

The 6 most intense peaks (5° ≤ 2θ ≤ 70°), in order of falling intensity:
d/Å, I/Imax
3.143, 100
3.068, 58
2.761, 41
1.701, 37
2.389, 30
1.838, 27

Structure:
Lattice parameters (Å, degrees): 10.540 10.540 10.540 154.83 153.80 36.65
Sites, in units of the cell vectors:
Ac 0.000 0.000 0.000
Ac 0.183 0.683 0.500
Ac 0.817 0.317 0.500
Zn 0.439 0.439 0.000
Zn 0.561 0.561 0.000
Sn 0.361 0.861 0.500
Sn 0.639 0.139 0.500

(5)
Simulated X-ray powder pattern of DyHfTeC for Cu Kα, 1.54184 Å, from a cell relaxed with PBE.
Neutral-atom scattering factors, no anomalous dispersion.

The 6 most intense peaks (5° ≤ 2θ ≤ 70°), in order of falling intensity:
d/Å, I/Imax
2.598, 100
3.155, 27
1.822, 26
1.492, 18
1.426, 17
2.291, 13

Structure:
Lattice parameters (Å, degrees): 3.643 3.643 13.744 90.00 90.00 120.00
Sites, in units of the cell vectors:
Dy 0.333 0.667 0.404
Dy 0.667 0.333 0.596
Hf 0.333 0.667 0.083
Hf 0.667 0.333 0.917
Te 0.333 0.667 0.768
Te 0.667 0.333 0.232
C 0.000 0.000 0.000
C 0.000 0.000 0.500

(6)
Simulated X-ray powder pattern of Cu11Te2 for Cu Kα, 1.54184 Å, from a cell relaxed with PBE.
Neutral-atom scattering factors, no anomalous dispersion.

The 6 most intense peaks (5° ≤ 2θ ≤ 70°), in order of falling intensity:
d/Å, I/Imax
16.186, 100
2.189, 28
1.879, 26
2.117, 23
1.834, 16
2.048, 14

Structure:
Lattice parameters (Å, degrees): 6.223 2.720 32.376 90.00 90.79 90.00
Sites, in units of the cell vectors:
Cu 0.003 0.250 0.467
Cu 0.012 0.750 0.401
Cu 0.033 0.250 0.335
Cu 0.048 0.750 0.268
Cu 0.297 0.250 0.686
Cu 0.315 0.750 0.621
Cu 0.328 0.250 0.555
Cu 0.334 0.750 0.489
Cu 0.341 0.250 0.423
Cu 0.357 0.750 0.358
Cu 0.369 0.250 0.292
Cu 0.631 0.750 0.708
Cu 0.643 0.250 0.642
Cu 0.659 0.750 0.577
Cu 0.666 0.250 0.511
Cu 0.672 0.750 0.445
Cu 0.685 0.250 0.379
Cu 0.703 0.750 0.314
Cu 0.952 0.250 0.732
Cu 0.967 0.750 0.665
Cu 0.988 0.250 0.599
Cu 0.997 0.750 0.533
Te 0.193 0.750 0.192
Te 0.315 0.750 0.762
Te 0.685 0.250 0.238
Te 0.807 0.250 0.808

(7)
Simulated X-ray powder pattern of MgCoB2 for Cu Kα, 1.54184 Å, from a cell relaxed with PBE.
Neutral-atom scattering factors, no anomalous dispersion.

The 5 most intense peaks (5° ≤ 2θ ≤ 70°), in order of falling intensity:
d/Å, I/Imax
1.873, 100
3.059, 88
1.597, 37
2.649, 19
1.529, 4

Structure:
Lattice parameters (Å, degrees): 3.746 3.746 3.746 60.00 60.00 60.00
Sites, in units of the cell vectors:
Mg 0.000 0.000 0.000
Co 0.250 0.250 0.250
B 0.500 0.500 0.500
B 0.750 0.750 0.750

(8)
Simulated X-ray powder pattern of PuZrNp for Cu Kα, 1.54184 Å, from a cell relaxed with PBE.
Neutral-atom scattering factors, no anomalous dispersion.

The 6 most intense peaks (5° ≤ 2θ ≤ 70°), in order of falling intensity:
d/Å, I/Imax
2.355, 100
3.846, 55
1.360, 36
2.009, 30
1.665, 18
1.528, 13

Structure:
Lattice parameters (Å, degrees): 4.711 4.711 4.711 60.00 60.00 60.00
Sites, in units of the cell vectors:
Pu 0.000 0.000 0.000
Zr 0.500 0.500 0.500
Np 0.250 0.250 0.250

(9)
Simulated X-ray powder pattern of CdH12C6S4N6 for Cu Kα, 1.54184 Å, from a cell relaxed with PBE.
Neutral-atom scattering factors, no anomalous dispersion.

The 6 most intense peaks (5° ≤ 2θ ≤ 70°), in order of falling intensity:
d/Å, I/Imax
11.673, 100
3.098, 37
3.513, 19
5.913, 19
4.350, 18
7.248, 18

Structure:
Lattice parameters (Å, degrees): 3.967 7.488 11.803 93.68 96.60 103.52
Sites, in units of the cell vectors:
Cd 0.000 0.000 0.000
H 0.172 0.191 0.609
H 0.336 0.484 0.736
H 0.347 0.932 0.236
H 0.387 0.529 0.885
H 0.412 0.654 0.394
H 0.472 0.896 0.428
H 0.528 0.104 0.572
H 0.588 0.346 0.606
H 0.613 0.471 0.115
H 0.653 0.068 0.764
H 0.664 0.516 0.264
H 0.828 0.809 0.391
C 0.036 0.201 0.271
C 0.456 0.208 0.627
C 0.477 0.705 0.168
C 0.523 0.295 0.832
C 0.544 0.792 0.373
C 0.964 0.799 0.729
S 0.055 0.685 0.621
S 0.378 0.751 0.027
S 0.622 0.249 0.973
S 0.945 0.315 0.379
N 0.108 0.113 0.193
N 0.400 0.443 0.815
N 0.438 0.817 0.255
N 0.562 0.183 0.745
N 0.600 0.557 0.185
N 0.892 0.887 0.807

(10)
Simulated X-ray powder pattern of Ni2Bi8S for Cu Kα, 1.54184 Å, from a cell relaxed with PBE.
Neutral-atom scattering factors, no anomalous dispersion.

The 6 most intense peaks (5° ≤ 2θ ≤ 70°), in order of falling intensity:
d/Å, I/Imax
2.709, 100
2.853, 74
3.476, 44
2.635, 39
3.100, 35
2.419, 32

Structure:
Lattice parameters (Å, degrees): 11.178 11.178 9.669 90.00 90.00 90.00
Sites, in units of the cell vectors:
Ni 0.214 0.214 0.231
Ni 0.214 0.214 0.769
Ni 0.286 0.714 0.269
Ni 0.286 0.714 0.731
Ni 0.714 0.286 0.269
Ni 0.714 0.286 0.731
Ni 0.786 0.786 0.231
Ni 0.786 0.786 0.769
Bi 0.000 0.000 0.291
Bi 0.000 0.000 0.709
Bi 0.057 0.696 0.180
Bi 0.057 0.696 0.820
Bi 0.114 0.114 0.000
Bi 0.168 0.168 0.500
Bi 0.181 0.819 0.500
Bi 0.196 0.443 0.320
Bi 0.196 0.443 0.680
Bi 0.304 0.943 0.180
Bi 0.304 0.943 0.820
Bi 0.319 0.319 0.000
Bi 0.332 0.668 0.000
Bi 0.386 0.614 0.500
Bi 0.443 0.196 0.320
Bi 0.443 0.196 0.680
Bi 0.500 0.500 0.209
Bi 0.500 0.500 0.791
Bi 0.557 0.804 0.320
Bi 0.557 0.804 0.680
Bi 0.614 0.386 0.500
Bi 0.668 0.332 0.000
Bi 0.681 0.681 0.000
Bi 0.696 0.057 0.180
Bi 0.696 0.057 0.820
Bi 0.804 0.557 0.320
Bi 0.804 0.557 0.680
Bi 0.819 0.181 0.500
Bi 0.832 0.832 0.500
Bi 0.886 0.886 0.000
Bi 0.943 0.304 0.180
Bi 0.943 0.304 0.820
S 0.000 0.500 0.000
S 0.000 0.500 0.500
S 0.500 0.000 0.000
S 0.500 0.000 0.500

(11)
Simulated X-ray powder pattern of H6W for Cu Kα, 1.54184 Å, from a cell relaxed with PBE.
Neutral-atom scattering factors, no anomalous dispersion.

The 6 most intense peaks (5° ≤ 2θ ≤ 70°), in order of falling intensity:
d/Å, I/Imax
4.503, 100
2.688, 46
2.379, 29
2.823, 29
2.850, 28
2.116, 21

Structure:
Lattice parameters (Å, degrees): 5.089 5.089 6.008 115.18 115.18 34.49
Sites, in units of the cell vectors:
H 0.010 0.010 0.232
H 0.159 0.159 0.512
H 0.196 0.196 0.165
H 0.235 0.235 0.841
H 0.423 0.423 0.063
H 0.459 0.459 0.439
H 0.541 0.541 0.561
H 0.577 0.577 0.937
H 0.765 0.765 0.159
H 0.804 0.804 0.835
H 0.841 0.841 0.488
H 0.990 0.990 0.768
W 0.363 0.363 0.721
W 0.637 0.637 0.279